[1]
This entry pairs a crystal structure of NaFePCO7 with its simulated powder X-ray diffraction pattern. Radiation: CuKα. Structure: the GGA+U geometry in the Materials Project.
Neutral-atom scattering factors, no anomalous dispersion.

Structure:
```
data_NaFePCO7
_chemical_formula_sum 'Na2 Fe2 P2 C2 O14'
_cell_length_a 5.282
_cell_length_b 6.448
_cell_length_c 9.212
_cell_angle_alpha 90.00
_cell_angle_beta 92.16
_cell_angle_gamma 90.00
_symmetry_space_group_name_H-M 'P 1 21 1'
_symmetry_Int_Tables_number 4
loop_
_symmetry_equiv_pos_as_xyz
'x,y,z'
'-x,y+1/2,-z'
loop_
_atom_site_label
_atom_site_fract_x
_atom_site_fract_y
_atom_site_fract_z
_atom_site_occupancy
Na1 0.236 0.000 0.260 1
Fe1 0.211 0.792 0.856 1
P1 0.277 0.283 0.930 1
C1 0.274 0.771 0.582 1
O1 0.052 0.775 0.637 1
O2 0.131 0.272 0.073 1
O3 0.203 0.476 0.838 1
O4 0.217 0.092 0.835 1
O5 0.309 0.771 0.448 1
O6 0.433 0.791 0.030 1
O7 0.460 0.768 0.679 1
```

Principal peaks in the range 10 to 90 degrees two-theta, low angle first:
2theta  d (Å)  intensity  hkl
16.79  5.281  1000  0 1 1
19.06  4.655  395  1 0 -1
19.70  4.506  574  1 0 1
21.76  4.084  544  1 1 0
24.09  3.694  363  1 1 1
25.19  3.536  684  1 0 -2
26.16  3.406  274  1 0 2
27.67  3.224  872  0 2 0
33.96  2.640  629  2 0 0
37.16  2.420  320  1 1 3

=====

[2]
This entry pairs a crystal structure of YCo3O6 with its simulated powder X-ray diffraction pattern. Radiation: CuKα. Structure: the GGA+U geometry in the Materials Project.
Neutral-atom scattering factors, no anomalous dispersion.

Structure:
```
data_YCo3O6
_chemical_formula_sum 'Y4 Co12 O24'
_cell_length_a 5.740
_cell_length_b 6.171
_cell_length_c 15.119
_cell_angle_alpha 81.06
_cell_angle_beta 86.96
_cell_angle_gamma 65.05
_symmetry_space_group_name_H-M 'P -1'
_symmetry_Int_Tables_number 2
loop_
_symmetry_equiv_pos_as_xyz
'x,y,z'
'-x,-y,-z'
loop_
_atom_site_label
_atom_site_fract_x
_atom_site_fract_y
_atom_site_fract_z
_atom_site_occupancy
Y1 0.035 0.485 0.377 1
Y2 0.335 0.831 0.956 1
Co1 0.000 0.000 0.500 1
Co2 0.000 0.500 0.000 1
Co3 0.155 0.140 0.179 1
Co4 0.185 0.663 0.166 1
Co5 0.319 0.321 0.839 1
Co6 0.408 0.829 0.335 1
Co7 0.500 0.000 0.500 1
Co8 0.500 0.500 0.500 1
O1 0.107 0.943 0.089 1
O2 0.135 0.668 0.493 1
O3 0.145 0.843 0.260 1
O4 0.161 0.409 0.237 1
O5 0.163 0.632 0.877 1
O6 0.166 0.063 0.400 1
O7 0.276 0.509 0.065 1
O8 0.294 0.215 0.959 1
O9 0.339 0.410 0.719 1
O10 0.347 0.195 0.592 1
O11 0.467 0.291 0.429 1
O12 0.489 0.992 0.829 1
```

Principal peaks in the range 10 to 90 degrees two-theta, low angle first:
2theta  d (Å)  intensity  hkl
11.85  7.467  625  0 0 2
31.91  2.805  811  -1 1 3
34.84  2.575  570  1 0 5
35.09  2.557  1000  2 0 1
35.22  2.548  679  2 1 3
36.24  2.479  509  0 2 -2
36.90  2.436  684  1 1 -5
37.05  2.426  769  1 2 -3
50.00  1.824  489  0 2 7
60.63  1.527  486  2 0 -8

=====

[3]
This entry pairs a crystal structure of Sr4NdMn5O15 with its simulated powder X-ray diffraction pattern. Radiation: CuKα. Structure: the GGA+U geometry in the Materials Project.
Neutral-atom scattering factors, no anomalous dispersion.

Structure:
```
data_Sr4NdMn5O15
_chemical_formula_sum 'Sr8 Nd2 Mn10 O30'
_cell_length_a 16.488
_cell_length_b 5.485
_cell_length_c 6.714
_cell_angle_alpha 90.00
_cell_angle_beta 105.89
_cell_angle_gamma 90.00
_symmetry_space_group_name_H-M 'C 1 2/m 1'
_symmetry_Int_Tables_number 12
loop_
_symmetry_equiv_pos_as_xyz
'x,y,z'
'-x,-y,-z'
'-x,y,-z'
'x,-y,z'
'x+1/2,y+1/2,z'
'-x+1/2,-y+1/2,-z'
'-x+1/2,y+1/2,-z'
'x+1/2,-y+1/2,z'
loop_
_atom_site_label
_atom_site_fract_x
_atom_site_fract_y
_atom_site_fract_z
_atom_site_occupancy
Sr1 0.101 0.000 0.400 1
Sr2 0.200 0.500 0.799 1
Nd1 0.000 0.500 0.000 1
Mn1 0.000 0.500 0.500 1
Mn2 0.101 0.000 0.900 1
Mn3 0.200 0.500 0.301 1
O1 0.000 0.000 0.000 1
O2 0.049 0.256 0.707 1
O3 0.097 0.500 0.392 1
O4 0.144 0.256 0.098 1
O5 0.201 0.000 0.805 1
O6 0.250 0.250 0.500 1
```

Principal peaks in the range 10 to 90 degrees two-theta, low angle first:
2theta  d (Å)  intensity  hkl
32.64  2.743  1000  2 0 2
40.26  2.240  162  4 2 -1
46.75  1.943  124  8 0 -2
46.87  1.938  246  2 2 2
58.24  1.584  315  10 0 0
58.32  1.582  63  1 1 -4
68.37  1.372  177  0 4 0
77.73  1.229  54  13 1 -2
77.92  1.226  107  2 4 2
86.97  1.120  53  8 4 -2

=====

[4]
This entry pairs a crystal structure of RbFeO2 with its simulated powder X-ray diffraction pattern. Radiation: CuKα. Structure: the GGA+U geometry in the Materials Project.
Neutral-atom scattering factors, no anomalous dispersion.

Structure:
```
data_RbFeO2
_chemical_formula_sum 'Rb4 Fe4 O8'
_cell_length_a 4.957
_cell_length_b 12.248
_cell_length_c 5.550
_cell_angle_alpha 90.00
_cell_angle_beta 90.00
_cell_angle_gamma 90.00
_symmetry_space_group_name_H-M 'C m c m'
_symmetry_Int_Tables_number 63
_symmetry_space_group_name_Hall '-C 2c 2'
loop_
_atom_site_label
_atom_site_fract_x
_atom_site_fract_y
_atom_site_fract_z
_atom_site_occupancy
Rb1 0.000 0.193 0.250 1
Fe1 0.000 0.498 0.250 1
O1 0.000 0.397 0.504 1
```

Principal peaks in the range 10 to 90 degrees two-theta, low angle first:
2theta  d (Å)  intensity  hkl
19.32  4.595  500  1 1 0
21.61  4.112  343  0 2 1
25.16  3.539  1000  1 1 1
28.32  3.151  843  1 3 0
32.26  2.775  247  0 0 2
33.42  2.681  282  0 4 1
36.24  2.479  457  2 0 0
43.45  2.083  722  1 3 2
50.12  1.820  174  2 4 1
58.31  1.582  255  2 4 2

=====

[5]
This entry pairs a crystal structure of Li2MnSi2O6 with its simulated powder X-ray diffraction pattern. Radiation: CuKα. Structure: the GGA+U geometry in the Materials Project.
Neutral-atom scattering factors, no anomalous dispersion.

Structure:
```
data_Li2MnSi2O6
_chemical_formula_sum 'Li8 Mn4 Si8 O24'
_cell_length_a 10.615
_cell_length_b 9.671
_cell_length_c 5.410
_cell_angle_alpha 90.00
_cell_angle_beta 115.15
_cell_angle_gamma 90.00
_symmetry_space_group_name_H-M 'C 1 2 1'
_symmetry_Int_Tables_number 5
loop_
_symmetry_equiv_pos_as_xyz
'x,y,z'
'-x,y,-z'
'x+1/2,y+1/2,z'
'-x+1/2,y+1/2,-z'
loop_
_atom_site_label
_atom_site_fract_x
_atom_site_fract_y
_atom_site_fract_z
_atom_site_occupancy
Li1 0.000 0.000 0.000 1
Li2 0.000 0.408 0.500 1
Li3 0.165 0.876 0.890 1
Mn1 0.000 0.092 0.500 1
Mn2 0.000 0.326 0.000 1
Si1 0.202 0.606 0.949 1
Si2 0.205 0.783 0.448 1
O1 0.119 0.927 0.384 1
O2 0.124 0.282 0.411 1
O3 0.130 0.087 0.909 1
O4 0.131 0.454 0.892 1
O5 0.155 0.706 0.145 1
O6 0.157 0.701 0.669 1
```

Principal peaks in the range 10 to 90 degrees two-theta, low angle first:
2theta  d (Å)  intensity  hkl
12.99  6.816  248  1 1 0
18.35  4.836  125  0 2 0
18.86  4.706  156  1 1 -1
25.39  3.508  304  1 1 1
27.00  3.303  1000  2 2 -1
29.22  3.056  146  1 3 0
29.37  3.041  523  3 1 0
36.70  2.449  216  0 0 2
38.31  2.350  186  3 3 -1
54.51  1.683  178  2 2 -3